Entry 1:
This entry pairs a crystal structure of TmFe10Mo2 with its simulated powder XRD pattern. Radiation: Cu Kα X-rays. Structure: a PBE-relaxed structure.

Crystal structure
```
13
Lattice="-2.3718 4.2407 4.2792 2.3718 -4.2407 4.2792 2.3718 4.2407 -4.2792" Properties=species:S:1:pos:R:3 pbc="T T T"
Tm 0.0000 0.0000 0.0000
Fe 1.1859 2.1204 -2.1396
Fe 1.1859 -2.1204 2.1396
Fe 2.3718 1.8376 0.0000
Fe 2.3718 0.0000 1.8941
Fe 0.0000 3.0414 0.0000
Fe -1.1859 2.1204 2.1396
Fe 1.1859 2.1204 2.1396
Fe 0.0000 5.4401 0.0000
Fe 0.0000 4.2407 2.3851
Fe 0.0000 2.4032 4.2792
Mo 0.0000 0.0000 3.0594
Mo 0.0000 0.0000 5.4990
```

The 6 most intense peaks (2θ = 15–90°), sorted by position:
36.8 deg, intensity 35.3; 37.0 deg, intensity 37.3; 37.9 deg, intensity 22.9; 42.7 deg, intensity 100.0; 42.8 deg, intensity 46.6; 43.7 deg, intensity 75.7

---

Entry 2:
This entry pairs a crystal structure of UFe10Mo2 with its simulated powder XRD pattern. Radiation: Cu Kα X-rays. Structure: a PBE-relaxed structure.

Crystal structure
```
13
Lattice="-2.3317 4.2682 4.3236 2.3317 -4.2682 4.3236 2.3317 4.2682 -4.3236" Properties=species:S:1:pos:R:3 pbc="T T T"
U 0.0000 0.0000 0.0000
Fe 1.1659 2.1341 -2.1618
Fe 1.1659 -2.1341 2.1618
Fe 2.3317 1.8126 0.0000
Fe 2.3317 0.0000 1.9420
Fe 0.0000 3.0181 0.0000
Fe -1.1659 2.1341 2.1618
Fe 1.1659 2.1341 2.1618
Fe 0.0000 5.5182 0.0000
Fe 0.0000 4.2682 2.3816
Fe 0.0000 2.4556 4.3236
Mo 0.0000 0.0000 3.0847
Mo 0.0000 0.0000 5.5625
```

The 6 most intense peaks (2θ = 15–90°), sorted by position:
36.7 deg, intensity 56.6; 37.0 deg, intensity 63.3; 42.4 deg, intensity 49.3; 42.5 deg, intensity 100.0; 42.7 deg, intensity 80.6; 44.3 deg, intensity 64.1

---

Entry 3:
This entry pairs a crystal structure of Zr9FeMo4 with its simulated powder XRD pattern. Radiation: Cu Kα X-rays. Structure: a PBE-relaxed structure.

Crystal structure
```
28
Lattice="8.8280 0.0000 0.0000 -4.4140 7.6452 0.0000 0.0000 0.0000 8.4272" Properties=species:S:1:pos:R:3 pbc="T T T"
Zr -1.6791 4.1274 2.1068
Zr 0.0000 3.0792 4.6972
Zr 0.0000 3.0792 7.9436
Zr -1.7474 6.1057 4.6972
Zr -1.7474 6.1057 7.9436
Zr 2.6666 1.5396 0.4836
Zr 2.6666 1.5396 3.7300
Zr 1.6791 4.1274 2.1068
Zr 0.0000 7.0357 2.1068
Zr 4.4140 0.6095 6.3204
Zr 2.7349 3.5179 6.3204
Zr 1.7474 6.1057 4.6972
Zr 1.7474 6.1057 7.9436
Zr 6.1613 1.5396 0.4836
Zr 6.1613 1.5396 3.7300
Zr 4.4140 4.5661 0.4836
Zr 4.4140 4.5661 3.7300
Zr 6.0931 3.5179 6.3204
Fe 0.0000 5.0968 6.3204
Fe 4.4140 2.5484 2.1068
Mo 0.0000 0.0000 0.0000
Mo 0.0000 0.0000 4.2136
Mo 0.0000 1.6893 2.1068
Mo -2.9510 6.8006 2.1068
Mo 1.4629 0.8446 6.3204
Mo 2.9510 6.8006 2.1068
Mo 7.3650 0.8446 6.3204
Mo 4.4140 5.9560 6.3204
```

The 6 most intense peaks (2θ = 15–90°), sorted by position:
36.8 deg, intensity 71.4; 37.7 deg, intensity 100.0; 39.8 deg, intensity 43.8; 62.4 deg, intensity 21.6; 64.9 deg, intensity 21.0; 66.5 deg, intensity 27.5

---

Entry 4:
This entry pairs a crystal structure of ZrFeMo with its simulated powder XRD pattern. Radiation: Cu Kα X-rays. Structure: a PBE-relaxed structure.

Crystal structure
```
12
Lattice="8.4862 0.0000 0.0000 0.0000 2.6013 4.5193 0.0000 -2.6013 4.5193" Properties=species:S:1:pos:R:3 pbc="T T T"
Zr 1.5437 0.0000 0.0000
Zr 2.5650 0.0000 6.0484
Zr 5.9212 0.0000 6.0484
Zr 6.9425 0.0000 0.0000
Fe 0.0000 -1.2873 6.7234
Fe 0.0000 1.2873 6.7234
Fe 2.0014 0.0000 2.9847
Fe 6.4848 0.0000 2.9847
Mo 0.0000 0.0000 4.4809
Mo 4.2431 0.0000 1.4828
Mo 4.2431 -1.3012 3.7611
Mo 4.2431 1.3012 3.7611
```

The 6 most intense peaks (2θ = 15–90°), sorted by position:
34.4 deg, intensity 27.0; 37.5 deg, intensity 78.7; 40.6 deg, intensity 100.0; 41.4 deg, intensity 96.3; 63.7 deg, intensity 19.8; 69.3 deg, intensity 34.9

---

Entry 5:
This entry pairs a crystal structure of FeN2 with its simulated powder XRD pattern. Radiation: Cu Kα X-rays. Structure: a PBE-relaxed structure.

Crystal structure
```
6
Lattice="3.8717 0.0000 0.0000 0.0000 4.6294 0.0000 0.0000 0.0000 2.5767" Properties=species:S:1:pos:R:3 pbc="T T T"
Fe 0.0000 0.0000 0.0000
Fe 1.9359 2.3147 1.2883
N 0.4978 1.8759 0.0000
N 1.4380 4.1906 1.2883
N 2.4337 0.4388 1.2883
N 3.3739 2.7535 0.0000
```

The 6 most intense peaks (2θ = 15–90°), sorted by position:
30.1 deg, intensity 82.1; 38.9 deg, intensity 51.1; 40.0 deg, intensity 28.1; 42.1 deg, intensity 100.0; 58.7 deg, intensity 49.2; 63.4 deg, intensity 32.6

---

Entry 6:
This entry pairs a crystal structure of Fe2N with its simulated powder XRD pattern. Radiation: Cu Kα X-rays. Structure: a PBE-relaxed structure.

Crystal structure
```
12
Lattice="4.3474 0.0000 0.0000 0.0000 5.4684 0.0000 0.0000 0.0000 4.7463" Properties=species:S:1:pos:R:3 pbc="T T T"
Fe 1.0833 0.6921 0.4018
Fe 1.0833 4.7763 2.7750
Fe 1.0904 2.0421 2.7750
Fe 1.0904 3.4263 0.4018
Fe 3.2570 2.0421 4.3445
Fe 3.2570 3.4263 1.9714
Fe 3.2641 0.6921 1.9714
Fe 3.2641 4.7763 4.3445
N 0.0000 0.7379 3.5597
N 0.0000 4.7305 1.1866
N 2.1737 1.9963 1.1866
N 2.1737 3.4721 3.5597
```

The 6 most intense peaks (2θ = 15–90°), sorted by position:
38.0 deg, intensity 15.2; 41.5 deg, intensity 20.3; 43.5 deg, intensity 100.0; 57.5 deg, intensity 19.1; 68.5 deg, intensity 12.0; 77.1 deg, intensity 15.7